Starting from DFT lattice parameters and positions (PBE), the powder XRD pattern of YTmHf was calculated for λ = 1.5418 Å (Cu Kα).
Kinematic intensities with the Lorentz-polarization factor, no thermal factor.

Peak list (10 most intense, 2θ from 5° to 70°, by angle)
| 2theta | I/Imax |
| --- | --- |
| 12.0 | 17 |
| 32.3 | 100 |
| 36.7 | 16 |
| 37.8 | 34 |
| 40.8 | 8 |
| 53.7 | 22 |
| 54.6 | 12 |
| 63.3 | 11 |
| 64.8 | 27 |
| 67.6 | 11 |

```
3
Lattice="-1.6818 1.6818 7.3465 1.6818 -1.6818 7.3465 1.6818 1.6818 -7.3465" Properties=species:S:1:pos:R:3 pbc="T T T"
Y 0.0000 0.0000 0.0000
Tm 0.0000 0.0000 4.5497
Hf 0.0000 0.0000 9.6652
```

=====

Starting from DFT lattice parameters and positions (PBE), the powder XRD pattern of NdEuY2 was calculated for λ = 1.5418 Å (Cu Kα).
Kinematic intensities with the Lorentz-polarization factor, no thermal factor.

Peak list (10 most intense, 2θ from 5° to 70°, by angle)
| 2theta | I/Imax |
| --- | --- |
| 17.2 | 5 |
| 24.3 | 5 |
| 29.9 | 100 |
| 34.7 | 34 |
| 34.8 | 17 |
| 49.8 | 12 |
| 50.0 | 24 |
| 59.2 | 28 |
| 59.5 | 14 |
| 62.2 | 12 |

```
4
Lattice="5.1760 0.0000 0.0000 0.0000 5.1760 0.0000 0.0000 0.0000 5.1522" Properties=species:S:1:pos:R:3 pbc="T T T"
Nd 0.0000 0.0000 0.0000
Eu 2.5880 2.5880 0.0000
Y 0.0000 2.5880 2.5761
Y 2.5880 0.0000 2.5761
```

=====

Starting from DFT lattice parameters and positions (PBE), the powder XRD pattern of Nd5TmTl6 was calculated for λ = 1.5418 Å (Cu Kα).
Kinematic intensities with the Lorentz-polarization factor, no thermal factor.

Peak list (10 most intense, 2θ from 5° to 70°, by angle)
| 2theta | I/Imax |
| --- | --- |
| 32.6 | 100 |
| 32.7 | 20 |
| 46.7 | 15 |
| 47.0 | 7 |
| 58.2 | 23 |
| 58.3 | 15 |
| 58.4 | 7 |
| 68.3 | 5 |
| 68.4 | 7 |
| 68.6 | 2 |

```
12
Lattice="5.4970 0.0000 0.0000 -0.0145 7.7385 0.0000 -2.7281 -3.8585 8.2425" Properties=species:S:1:pos:R:3 pbc="T T T"
Nd 0.0000 0.0000 0.0000
Nd 0.0074 0.0066 5.4077
Nd 0.0012 3.8776 5.5287
Nd 2.7533 0.0023 2.7138
Nd 2.7470 3.8734 2.8349
Tm -0.0072 3.8692 0.0000
Tl 0.0022 1.9936 2.6791
Tl -0.0053 5.7509 2.6821
Tl 0.0058 1.8433 8.2379
Tl 2.7487 2.0366 0.0046
Tl 2.7597 -1.8709 5.5604
Tl 2.7523 1.8864 5.5634
```

=====

Starting from DFT lattice parameters and positions (PBE), the powder XRD pattern of Pu8Ge3Au was calculated for λ = 1.5418 Å (Cu Kα).
Kinematic intensities with the Lorentz-polarization factor, no thermal factor.

Peak list (10 most intense, 2θ from 5° to 70°, by angle)
| 2theta | I/Imax |
| --- | --- |
| 19.1 | 20 |
| 24.6 | 26 |
| 34.6 | 100 |
| 35.3 | 51 |
| 38.1 | 42 |
| 38.4 | 42 |
| 40.1 | 29 |
| 48.8 | 13 |
| 50.5 | 22 |
| 55.3 | 11 |

```
12
Lattice="5.2135 0.0000 0.0000 -2.3709 6.6999 0.0000 -1.9560 -0.8095 7.2178" Properties=species:S:1:pos:R:3 pbc="T T T"
Pu 0.0000 0.0000 0.0000
Pu -2.0310 2.7726 3.5847
Pu 0.0222 2.1782 2.2822
Pu -1.9775 5.1379 5.8896
Pu 0.4442 4.5864 1.7438
Pu 0.6996 0.9396 5.4427
Pu 2.5057 3.9030 0.4176
Pu 2.7907 0.3613 4.1383
Ge -1.9940 2.1147 6.5201
Ge 2.6233 0.9669 1.1896
Ge 0.5932 3.9728 4.6985
Au -2.1833 5.8228 2.8974
```

=====

Starting from DFT lattice parameters and positions (PBE), the powder XRD pattern of Sc4Al3Cd was calculated for λ = 1.5418 Å (Cu Kα).
Kinematic intensities with the Lorentz-polarization factor, no thermal factor.

Peak list (10 most intense, 2θ from 5° to 70°, by angle)
| 2theta | I/Imax |
| --- | --- |
| 12.9 | 10 |
| 18.3 | 11 |
| 22.5 | 13 |
| 29.2 | 8 |
| 32.0 | 6 |
| 37.1 | 100 |
| 53.4 | 5 |
| 53.6 | 11 |
| 66.9 | 11 |
| 67.0 | 21 |

```
8
Lattice="4.8352 0.0000 0.0000 0.0000 4.8352 0.0000 0.0000 0.0000 6.8623" Properties=species:S:1:pos:R:3 pbc="T T T"
Sc 0.0000 2.4176 1.6823
Sc 0.0000 2.4176 5.1800
Sc 2.4176 0.0000 1.6823
Sc 2.4176 0.0000 5.1800
Al 0.0000 0.0000 0.0000
Al 0.0000 0.0000 3.4312
Al 2.4176 2.4176 0.0000
Cd 2.4176 2.4176 3.4312
```